# 1
Theoretical powder diffractogram
Compound: YSc3
Radiation: Cu Kα, 1.54184 Å
Structure: a cell relaxed with GGA-PBE

Atomic structure:
```
data_YSc3
_chemical_formula_sum 'Y2 Sc6'
_space_group_name_H-M_alt 'P 1'
_space_group_IT_number 1
_cell_length_a 6.7991
_cell_length_b 6.7991
_cell_length_c 5.3011
_cell_angle_alpha 90.00
_cell_angle_beta 90.00
_cell_angle_gamma 120.00
loop_
_space_group_symop_operation_xyz
'x,y,z'
loop_
_atom_site_label
_atom_site_type_symbol
_atom_site_fract_x
_atom_site_fract_y
_atom_site_fract_z
_atom_site_occupancy
Y1 Y 0.3333 0.6667 0.2500 1
Y2 Y 0.6667 0.3333 0.7500 1
Sc1 Sc 0.1622 0.3244 0.7500 1
Sc2 Sc 0.1622 0.8378 0.7500 1
Sc3 Sc 0.3244 0.1622 0.2500 1
Sc4 Sc 0.6756 0.8378 0.7500 1
Sc5 Sc 0.8378 0.1622 0.2500 1
Sc6 Sc 0.8378 0.6756 0.2500 1
```

The 10 most intense peaks (2θ from 10° to 80°), by angle:
2theta, I_rel
22.57, 143
26.21, 59
30.36, 246
33.82, 243
34.86, 1000
46.08, 144
53.94, 174
61.17, 175
65.20, 188
65.85, 136

---

# 2
Theoretical powder diffractogram
Compound: YSc
Radiation: Cu Kα, 1.54184 Å
Structure: a cell relaxed with GGA-PBE

Atomic structure:
```
data_YSc
_chemical_formula_sum 'Y4 Sc4'
_space_group_name_H-M_alt 'P 1'
_space_group_IT_number 1
_cell_length_a 6.8389
_cell_length_b 6.8389
_cell_length_c 6.8389
_cell_angle_alpha 60.00
_cell_angle_beta 60.00
_cell_angle_gamma 60.00
loop_
_space_group_symop_operation_xyz
'x,y,z'
loop_
_atom_site_label
_atom_site_type_symbol
_atom_site_fract_x
_atom_site_fract_y
_atom_site_fract_z
_atom_site_occupancy
Y1 Y 0.0000 0.0000 0.0000 1
Y2 Y 0.0000 0.0000 0.5000 1
Y3 Y 0.0000 0.5000 0.0000 1
Y4 Y 0.5000 0.0000 0.0000 1
Sc1 Sc 0.0000 0.5000 0.5000 1
Sc2 Sc 0.5000 0.0000 0.5000 1
Sc3 Sc 0.5000 0.5000 0.0000 1
Sc4 Sc 0.5000 0.5000 0.5000 1
```

The 10 most intense peaks (2θ from 10° to 80°), by angle:
2theta, I_rel
15.87, 153
30.66, 95
32.06, 1000
37.19, 493
40.66, 45
53.60, 325
56.27, 36
63.84, 373
67.04, 106
79.24, 48

---

# 3
Theoretical powder diffractogram
Compound: Y2Sc
Radiation: Cu Kα, 1.54184 Å
Structure: a cell relaxed with GGA-PBE

Atomic structure:
```
data_Y2Sc
_chemical_formula_sum 'Y2 Sc1'
_space_group_name_H-M_alt 'P 1'
_space_group_IT_number 1
_cell_length_a 3.4820
_cell_length_b 3.4820
_cell_length_c 8.4461
_cell_angle_alpha 90.00
_cell_angle_beta 90.00
_cell_angle_gamma 120.00
loop_
_space_group_symop_operation_xyz
'x,y,z'
loop_
_atom_site_label
_atom_site_type_symbol
_atom_site_fract_x
_atom_site_fract_y
_atom_site_fract_z
_atom_site_occupancy
Y1 Y 0.3333 0.6667 0.3228 1
Y2 Y 0.6667 0.3333 0.6772 1
Sc1 Sc 0.0000 0.0000 0.0000 1
```

The 10 most intense peaks (2θ from 10° to 80°), by angle:
2theta, I_rel
10.47, 89
31.50, 1000
31.78, 298
36.62, 619
52.57, 210
52.94, 224
62.58, 129
62.75, 233
63.08, 108
65.76, 104